No. 1
Simulated powder XRD pattern of Ti2MnGe4 for CuKα, from the PBE geometry in Alexandria.
Peak positions follow from Bragg's law for the DFT cell and can differ from measured ones.

Crystal structure
```
14
Lattice="14.755 0.000 0.000 0.000 3.011 0.000 -1.974 0.000 5.180" Properties=species:S:1:pos:R:3 pbc="T T T"
Ti 3.060 0.000 1.250
Ti 2.344 1.505 3.930
Ti 10.438 1.505 1.250
Ti 9.721 0.000 3.930
Mn 0.000 0.000 0.000
Mn 7.378 1.505 0.000
Ge 0.846 1.505 1.698
Ge 0.124 0.000 3.983
Ge 5.280 1.505 1.196
Ge 4.558 0.000 3.482
Ge 8.223 0.000 1.698
Ge 7.502 1.505 3.983
Ge 12.657 0.000 1.196
Ge 11.936 1.505 3.482
```

Largest 8 diffraction maxima, low angle first, 5 to 70 degrees two-theta:
34.6 deg, rel. 40; 36.2 deg, rel. 42; 36.5 deg, rel. 100; 41.4 deg, rel. 21; 42.3 deg, rel. 48; 42.9 deg, rel. 81; 53.1 deg, rel. 34; 58.6 deg, rel. 29

No. 2
Simulated powder XRD pattern of YTiMnGe2 for CuKα, from the PBE geometry in Alexandria.
Peak positions follow from Bragg's law for the DFT cell and can differ from measured ones.

Crystal structure
```
10
Lattice="3.983 0.000 0.000 0.000 3.983 0.000 0.000 0.000 11.367" Properties=species:S:1:pos:R:3 pbc="T T T"
Y 0.000 0.000 0.000
Y 1.991 1.991 5.684
Ti 0.000 1.991 8.526
Ti 1.991 0.000 2.842
Mn 0.000 1.991 2.842
Mn 1.991 0.000 8.526
Ge 0.000 0.000 4.418
Ge 0.000 0.000 6.950
Ge 1.991 1.991 1.266
Ge 1.991 1.991 10.102
```

Largest 8 diffraction maxima, low angle first, 5 to 70 degrees two-theta:
31.8 deg, rel. 27; 32.6 deg, rel. 73; 35.6 deg, rel. 100; 45.3 deg, rel. 24; 45.6 deg, rel. 60; 46.0 deg, rel. 53; 57.1 deg, rel. 28; 66.7 deg, rel. 34

No. 3
Simulated powder XRD pattern of Mn2TlGe2 for CuKα, from the PBE geometry in Alexandria.
Peak positions follow from Bragg's law for the DFT cell and can differ from measured ones.

Crystal structure
```
10
Lattice="3.767 0.000 0.000 0.000 3.767 0.000 0.000 0.000 12.477" Properties=species:S:1:pos:R:3 pbc="T T T"
Mn 0.000 0.000 1.339
Mn 0.000 0.000 11.138
Mn 1.883 1.883 4.899
Mn 1.883 1.883 7.578
Tl 0.000 0.000 6.238
Tl 1.883 1.883 0.000
Ge 0.000 1.883 3.119
Ge 0.000 1.883 9.358
Ge 1.883 0.000 3.119
Ge 1.883 0.000 9.358
```

Largest 8 diffraction maxima, low angle first, 5 to 70 degrees two-theta:
24.7 deg, rel. 23; 28.6 deg, rel. 21; 32.1 deg, rel. 63; 36.7 deg, rel. 100; 43.5 deg, rel. 42; 48.3 deg, rel. 34; 59.2 deg, rel. 30; 67.0 deg, rel. 22